DyYPbO2: simulated powder diffraction line list (Cu Kα (weighted mean of Kα1 and Kα2)), based on DFT lattice parameters and positions (GGA-PBE).
Lines closer than 0.1° are merged.

Top 10 peaks for 2θ = 5–70°, sorted by position:
2θ/deg, I_rel
23.93, 9
29.91, 100
32.87, 34
38.04, 11
47.18, 16
51.14, 25
56.87, 33
62.14, 11
63.77, 11
68.93, 5

a b c (Å): 7.602 7.602 7.602
angles (deg): 150.64 150.64 42.00
Element x y z (fractional)
Dy (0.000, 0.000, 0.000)
Y (0.342, 0.342, 0.000)
Pb (0.671, 0.671, 0.000)
O (0.422, 0.922, 0.500)
O (0.922, 0.422, 0.500)